For MoCl2F5, a crystal structure in Alexandria, relaxed with GGA+U gives the simulated PXRD pattern in this record (Cu Kα (weighted mean of Kα1 and Kα2)).

Principal peaks in the range 2θ = 10–80°, low angle first:
2θ = 13.12°, d 6.746, rel. 50, hkl 0 0 1
2θ = 14.62°, d 6.059, rel. 36, hkl 0 1 0
2θ = 19.47°, d 4.559, rel. 100, hkl 0 1 1
2θ = 19.92°, d 4.457, rel. 98, hkl 0 1 -1
2θ = 22.40°, d 3.968, rel. 83, hkl 1 1 0
2θ = 24.65°, d 3.612, rel. 35, hkl 1 0 1
2θ = 26.42°, d 3.373, rel. 65, hkl 0 0 2
2θ = 29.49°, d 3.029, rel. 44, hkl 0 2 0

Lattice parameters (Å, degrees): 4.237 6.416 6.805 86.33 82.54 70.82
Fractional coordinates of all 8 atoms:
Mo 0.000 0.000 0.000
Cl 0.292 0.446 0.503
Cl 0.702 0.554 0.497
F 0.057 0.001 0.721
F 0.156 0.690 0.991
F 0.500 0.000 0.000
F 0.843 0.310 0.009
F 0.943 0.999 0.279